1.
Theoretical powder X-ray diffraction pattern of CdGaRhSe2 for Cu Kα X-rays, from a structure optimized by DFT (PBE).

Main lines, most intense first (10 to 80 degrees two-theta):
2θ/deg  Rel. int.
34.5  100
29.9  72
49.9  68
17.0  61
34.9  48
49.5  35
62.1  35
24.2  22
58.9  20
24.3  16

Atomic structure:
```
CdGaRhSe2
1.0
5.2036 0.0000 0.0000
0.0000 5.2036 0.0000
0.0000 0.0000 5.1361
Cd Ga Rh Se
1 1 1 2
Direct
0.0000 0.0000 0.0000 Cd
0.5000 0.5000 0.5000 Ga
0.0000 0.0000 0.5000 Rh
0.0000 0.5000 0.0000 Se
0.5000 0.0000 0.0000 Se
```

---

2.
Theoretical powder X-ray diffraction pattern of CdGa2Ru2 for Cu Kα X-rays, from a structure optimized by DFT (PBE).

Main lines, most intense first (10 to 80 degrees two-theta):
2θ/deg  Rel. int.
40.5  100
39.7  69
74.0  28
38.4  26
78.1  19
33.9  15
59.6  14
35.4  12
61.1  10
57.4  9

Atomic structure:
```
CdGa2Ru2
1.0
7.1745 0.0000 0.0000
0.0000 7.1745 0.0000
0.0000 0.0000 3.1004
Cd Ga Ru
2 4 4
Direct
0.0000 0.0000 0.0000 Cd
0.5000 0.5000 0.0000 Cd
0.1353 0.3647 0.0000 Ga
0.3647 0.8647 0.0000 Ga
0.6353 0.1353 0.0000 Ga
0.8647 0.6353 0.0000 Ga
0.1580 0.6580 0.5000 Ru
0.3420 0.1580 0.5000 Ru
0.6580 0.8420 0.5000 Ru
0.8420 0.3420 0.5000 Ru
```

---

3.
Theoretical powder X-ray diffraction pattern of CdGa2S4 for Cu Kα X-rays, from a structure optimized by DFT (PBE).

Main lines, most intense first (10 to 80 degrees two-theta):
2θ/deg  Rel. int.
28.4  100
46.3  43
22.7  28
57.5  25
16.8  19
48.9  18
52.8  16
41.3  11
34.9  11
74.8  11

Atomic structure:
```
CdGa2S4
1.0
5.2704 0.0000 0.0000
0.0000 5.2704 0.0000
0.0000 0.0000 5.8817
Cd Ga S
1 2 4
Direct
0.0000 0.0000 0.0000 Cd
0.0000 0.5000 0.5000 Ga
0.5000 0.0000 0.5000 Ga
0.2701 0.2701 0.2662 S
0.2701 0.7299 0.7338 S
0.7299 0.2701 0.7338 S
0.7299 0.7299 0.2662 S
```

---

4.
Theoretical powder X-ray diffraction pattern of Tl2CdGaS4 for Cu Kα X-rays, from a structure optimized by DFT (PBE).

Main lines, most intense first (10 to 80 degrees two-theta):
2θ/deg  Rel. int.
26.9  100
46.1  46
25.7  35
48.2  27
36.6  14
30.5  14
36.7  14
16.1  13
55.5  10
77.1  10

Atomic structure:
```
Tl2CdGaS4
1.0
4.8952 -4.4968 0.0000
4.8952 4.4968 0.0000
-4.8931 0.0000 4.9083
Tl Cd Ga S
2 1 1 4
Direct
0.0000 0.0000 0.0000 Tl
0.7503 0.2497 0.5000 Tl
0.5006 0.4994 0.0000 Cd
0.2508 0.7492 0.5000 Ga
0.1990 0.4326 0.5308 S
0.3340 0.0954 0.8990 S
0.5674 0.8010 0.4692 S
0.9046 0.6660 0.1010 S
```